1.
Structure and simulated PXRD pattern of ZrBeSi4 (a GGA-PBE-relaxed structure; Cu Kα X-rays).
No peak broadening, texture or thermal motion is included.

Cell and atoms:
```
ZrBeSi4
1.0
0.0000 3.5119 3.5119
3.5119 0.0000 3.5119
3.5119 3.5119 0.0000
Zr Be Si
1 1 4
Cartesian
0.0000 0.0000 0.0000 Zr
5.2679 5.2679 5.2679 Be
2.6353 2.6353 2.6353 Si
4.3885 4.3885 2.6353 Si
4.3885 2.6353 4.3885 Si
2.6353 4.3885 4.3885 Si
```

The 10 most intense peaks (15° ≤ 2θ ≤ 90°), low angle first:
2θ 21.9, d 4.055, intensity 38; 2θ 25.4, d 3.512, intensity 39; 2θ 36.2, d 2.483, intensity 40; 2θ 42.7, d 2.118, intensity 100; 2θ 44.7, d 2.028, intensity 30; 2θ 57.2, d 1.611, intensity 8; 2θ 58.8, d 1.571, intensity 14; 2θ 65.1, d 1.434, intensity 14; 2θ 69.5, d 1.352, intensity 30; 2θ 76.8, d 1.242, intensity 20

2.
Structure and simulated PXRD pattern of SrPmGa2Pd2 (a GGA-PBE-relaxed structure; Cu Kα X-rays).
No peak broadening, texture or thermal motion is included.

Cell and atoms:
```
SrPmGa2Pd2
1.0
4.5130 0.0000 0.0000
-2.2565 3.9083 0.0000
0.0000 0.0000 7.8685
Sr Pm Ga Pd
1 1 2 2
Cartesian
0.0000 0.0000 0.0000 Sr
0.0000 0.0000 3.9343 Pm
0.0000 2.6056 2.1752 Ga
2.2565 1.3028 5.6933 Ga
0.0000 2.6056 5.6426 Pd
2.2565 1.3028 2.2259 Pd
```

The 10 most intense peaks (15° ≤ 2θ ≤ 90°), low angle first:
2θ 32.3, d 2.773, intensity 100; 2θ 40.0, d 2.256, intensity 61; 2θ 41.5, d 2.178, intensity 8; 2θ 46.1, d 1.967, intensity 9; 2θ 52.3, d 1.750, intensity 25; 2θ 62.7, d 1.483, intensity 22; 2θ 67.8, d 1.383, intensity 23; 2θ 72.6, d 1.303, intensity 10; 2θ 73.3, d 1.291, intensity 7; 2θ 86.2, d 1.128, intensity 7

3.
Structure and simulated PXRD pattern of Nd4FeGe8 (a GGA-PBE-relaxed structure; Cu Kα X-rays).
No peak broadening, texture or thermal motion is included.

Cell and atoms:
```
Nd4FeGe8
1.0
4.0884 0.0000 0.0000
0.0000 4.2608 0.0000
0.0000 0.0000 16.5780
Nd Fe Ge
4 1 8
Cartesian
0.0000 0.0000 0.0000 Nd
0.0000 2.1304 8.2760 Nd
2.0442 0.0000 3.4636 Nd
2.0442 2.1304 11.7372 Nd
2.0442 2.1304 15.1386 Fe
0.0000 0.0000 5.9160 Ge
0.0000 0.0000 10.8205 Ge
0.0000 2.1304 2.5802 Ge
0.0000 2.1304 14.0228 Ge
2.0442 0.0000 9.1740 Ge
2.0442 0.0000 14.0794 Ge
2.0442 2.1304 0.9440 Ge
2.0442 2.1304 5.8172 Ge
```

The 10 most intense peaks (15° ≤ 2θ ≤ 90°), low angle first:
2θ 24.3, d 3.667, intensity 13; 2θ 26.4, d 3.374, intensity 11; 2θ 32.4, d 2.763, intensity 15; 2θ 34.3, d 2.617, intensity 19; 2θ 34.5, d 2.602, intensity 100; 2θ 39.4, d 2.289, intensity 17; 2θ 42.4, d 2.130, intensity 19; 2θ 44.3, d 2.044, intensity 17; 2θ 63.0, d 1.475, intensity 12; 2θ 72.5, d 1.303, intensity 18

4.
Structure and simulated PXRD pattern of Ce2NdSnN5 (a GGA-PBE-relaxed structure; Cu Kα X-rays).
No peak broadening, texture or thermal motion is included.

Cell and atoms:
```
Ce2NdSnN5
1.0
1.7845 -7.0772 0.0000
1.7845 7.0772 0.0000
0.0000 0.0000 11.4727
Ce Nd Sn N
4 2 2 10
Cartesian
1.7845 5.1176 5.8194 Ce
1.7845 5.1176 11.3896 Ce
1.7845 -5.1176 0.0831 Ce
1.7845 -5.1176 5.6533 Ce
1.7845 3.2521 8.6045 Nd
1.7845 -3.2521 2.8682 Nd
1.7845 0.1109 2.8682 Sn
1.7845 -0.1109 8.6045 Sn
1.7845 5.8445 8.6045 N
1.7845 3.2212 1.1269 N
1.7845 3.2212 4.6094 N
1.7845 1.2562 6.9978 N
1.7845 1.2562 10.2112 N
1.7845 -1.2562 1.2615 N
1.7845 -1.2562 4.4748 N
1.7845 -3.2212 6.8633 N
1.7845 -3.2212 10.3458 N
1.7845 -5.8445 2.8682 N
```

The 10 most intense peaks (15° ≤ 2θ ≤ 90°), low angle first:
2θ 26.9, d 3.313, intensity 23; 2θ 29.7, d 3.012, intensity 100; 2θ 30.2, d 2.963, intensity 71; 2θ 31.2, d 2.868, intensity 46; 2θ 31.4, d 2.846, intensity 30; 2θ 44.9, d 2.020, intensity 26; 2θ 51.2, d 1.785, intensity 19; 2θ 52.1, d 1.755, intensity 18; 2θ 54.6, d 1.682, intensity 31; 2θ 60.3, d 1.535, intensity 27

5.
Structure and simulated PXRD pattern of La2Nd7 (a GGA-PBE-relaxed structure; Cu Kα X-rays).
No peak broadening, texture or thermal motion is included.

Cell and atoms:
```
La2Nd7
1.0
10.1240 0.0000 0.0000
-5.0620 8.7677 0.0000
0.0000 0.0000 3.6249
La Nd
2 7
Cartesian
0.0000 5.8451 0.0000 La
5.0620 2.9226 0.0000 La
0.0000 0.0000 1.8125 Nd
-1.7632 3.0540 1.8125 Nd
-3.4867 6.0391 0.0000 Nd
1.5753 2.7285 0.0000 Nd
3.5264 0.0000 1.8125 Nd
3.2988 5.7137 1.8125 Nd
6.9734 0.0000 0.0000 Nd
```

The 10 most intense peaks (15° ≤ 2θ ≤ 90°), low angle first:
2θ 30.3, d 2.947, intensity 74; 2θ 30.6, d 2.923, intensity 100; 2θ 32.0, d 2.794, intensity 18; 2θ 36.7, d 2.446, intensity 16; 2θ 43.6, d 2.075, intensity 25; 2θ 52.0, d 1.759, intensity 13; 2θ 54.2, d 1.692, intensity 25; 2θ 54.4, d 1.687, intensity 18; 2θ 60.1, d 1.540, intensity 29; 2θ 77.3, d 1.235, intensity 12

6.
Structure and simulated PXRD pattern of UCo3H6 (a GGA-PBE-relaxed structure; Cu Kα X-rays).
No peak broadening, texture or thermal motion is included.

Cell and atoms:
```
UCo3H6
1.0
2.2965 1.3259 4.1812
-2.2965 1.3259 4.1812
0.0000 -2.6518 4.1812
U Co H
1 3 6
Cartesian
0.0000 0.0000 0.0000 U
0.0000 0.0000 2.6221 Co
0.0000 0.0000 7.0829 Co
0.0000 0.0000 10.2245 Co
-0.6441 -1.2133 6.0015 H
-1.1966 0.6567 7.9864 H
-0.7287 1.1644 6.0015 H
0.0295 -1.3647 7.9864 H
1.3728 0.0489 6.0015 H
1.1671 0.7079 7.9864 H
```

The 10 most intense peaks (15° ≤ 2θ ≤ 90°), low angle first:
2θ 23.5, d 3.792, intensity 96; 2θ 26.5, d 3.359, intensity 49; 2θ 36.5, d 2.463, intensity 50; 2θ 39.2, d 2.297, intensity 100; 2θ 42.6, d 2.122, intensity 64; 2θ 46.2, d 1.964, intensity 18; 2θ 59.3, d 1.559, intensity 24; 2θ 59.8, d 1.546, intensity 20; 2θ 71.1, d 1.326, intensity 17; 2θ 73.4, d 1.290, intensity 26

7.
Structure and simulated PXRD pattern of PaGaBi2N (a GGA-PBE-relaxed structure; Cu Kα X-rays).
No peak broadening, texture or thermal motion is included.

Cell and atoms:
```
PaGaBi2N
1.0
3.9382 0.0000 0.0000
0.0000 3.9382 0.0000
0.0000 0.0000 16.7779
Pa Ga Bi N
2 2 4 2
Cartesian
0.9845 0.9845 1.1613 Pa
2.9536 2.9536 15.6165 Pa
0.9845 0.9845 10.7794 Ga
2.9536 2.9536 5.9984 Ga
0.9845 0.9845 7.2694 Bi
0.9845 0.9845 13.6493 Bi
2.9536 2.9536 3.1286 Bi
2.9536 2.9536 9.5085 Bi
0.9845 2.9536 0.0000 N
2.9536 0.9845 0.0000 N
```

The 10 most intense peaks (15° ≤ 2θ ≤ 90°), low angle first:
2θ 27.7, d 3.220, intensity 100; 2θ 31.2, d 2.871, intensity 13; 2θ 32.1, d 2.785, intensity 80; 2θ 35.1, d 2.554, intensity 71; 2θ 46.1, d 1.969, intensity 33; 2θ 54.6, d 1.680, intensity 32; 2θ 54.8, d 1.675, intensity 26; 2θ 59.3, d 1.559, intensity 32; 2θ 65.0, d 1.436, intensity 15; 2θ 76.5, d 1.245, intensity 15

8.
Structure and simulated PXRD pattern of FeCu5S4 (a GGA-PBE-relaxed structure; Cu Kα X-rays).
No peak broadening, texture or thermal motion is included.

Cell and atoms:
```
FeCu5S4
1.0
6.6461 0.0000 0.0000
0.0000 3.8368 0.0000
-2.2403 0.0000 6.3223
Fe Cu S
1 5 4
Cartesian
0.0000 0.0000 0.0000 Fe
-1.0632 1.9184 3.3046 Cu
1.1961 1.9184 1.6220 Cu
1.1363 1.9184 6.2571 Cu
2.2384 0.0000 3.3092 Cu
4.3894 0.0000 1.5891 Cu
0.0113 0.0000 2.3737 S
-1.1024 1.9184 5.5819 S
2.2445 0.0000 5.5756 S
3.3619 1.9184 2.5007 S
```

The 10 most intense peaks (15° ≤ 2θ ≤ 90°), low angle first:
2θ 27.2, d 3.273, intensity 36; 2θ 28.2, d 3.161, intensity 16; 2θ 28.5, d 3.136, intensity 54; 2θ 32.9, d 2.721, intensity 75; 2θ 35.9, d 2.502, intensity 17; 2θ 47.0, d 1.932, intensity 66; 2θ 47.2, d 1.926, intensity 32; 2θ 47.4, d 1.918, intensity 100; 2θ 69.1, d 1.359, intensity 19; 2θ 88.2, d 1.108, intensity 24

9.
Structure and simulated PXRD pattern of Pr6P4Cl (a GGA-PBE-relaxed structure; Cu Kα X-rays).
No peak broadening, texture or thermal motion is included.

Cell and atoms:
```
Pr6P4Cl
1.0
2.0803 -6.9582 0.0000
2.0803 6.9582 0.0000
0.0000 0.0000 21.2569
Pr P Cl
12 8 2
Cartesian
0.0000 0.0000 0.0000 Pr
0.0000 0.0000 10.6285 Pr
2.0803 4.5552 15.9427 Pr
2.0803 3.1075 1.6423 Pr
2.0803 3.1075 8.9861 Pr
2.0803 0.4917 14.0306 Pr
2.0803 0.4917 17.8548 Pr
2.0803 -0.4917 3.4021 Pr
2.0803 -0.4917 7.2263 Pr
2.0803 -3.1075 12.2708 Pr
2.0803 -3.1075 19.6146 Pr
2.0803 -4.5552 5.3142 Pr
2.0803 5.6651 13.3154 P
2.0803 5.6651 18.5700 P
2.0803 1.8964 11.5771 P
2.0803 1.8964 20.3083 P
2.0803 -1.8964 0.9486 P
2.0803 -1.8964 9.6799 P
2.0803 -5.6651 2.6869 P
2.0803 -5.6651 7.9416 P
2.0803 4.7398 5.3142 Cl
2.0803 -4.7398 15.9427 Cl
```

The 10 most intense peaks (15° ≤ 2θ ≤ 90°), low angle first:
2θ 25.6, d 3.475, intensity 57; 2θ 28.0, d 3.189, intensity 45; 2θ 28.3, d 3.157, intensity 100; 2θ 29.1, d 3.065, intensity 29; 2θ 30.1, d 2.974, intensity 88; 2θ 31.5, d 2.838, intensity 34; 2θ 42.6, d 2.123, intensity 37; 2θ 43.5, d 2.080, intensity 28; 2θ 44.6, d 2.033, intensity 60; 2θ 52.7, d 1.737, intensity 36

10.
Structure and simulated PXRD pattern of MnNbPd4 (a GGA-PBE-relaxed structure; Cu Kα X-rays).
No peak broadening, texture or thermal motion is included.

Cell and atoms:
```
MnNbPd4
1.0
0.0000 4.5951 7.5556
2.7651 0.0000 7.5556
2.7651 4.5951 0.0000
Mn Nb Pd
2 2 8
Cartesian
0.6913 1.1488 1.8889 Mn
4.8389 8.0415 13.2223 Mn
2.0738 3.4463 5.6667 Nb
3.4564 5.7439 9.4445 Nb
2.0667 1.1412 4.2686 Pd
2.0809 1.1412 7.0648 Pd
3.4635 3.4387 8.0463 Pd
3.4492 3.4387 10.8426 Pd
2.0809 5.7515 4.2686 Pd
2.0667 5.7515 7.0648 Pd
3.4492 8.0491 8.0463 Pd
3.4635 8.0491 10.8426 Pd
```

The 10 most intense peaks (15° ≤ 2θ ≤ 90°), low angle first:
2θ 34.5, d 2.597, intensity 54; 2θ 38.0, d 2.369, intensity 32; 2θ 39.2, d 2.298, intensity 62; 2θ 40.9, d 2.209, intensity 100; 2θ 45.2, d 2.007, intensity 96; 2θ 53.2, d 1.721, intensity 30; 2θ 72.2, d 1.309, intensity 18; 2θ 75.2, d 1.263, intensity 20; 2θ 82.3, d 1.172, intensity 25; 2θ 84.3, d 1.149, intensity 28

Copy entry 7 word for word.
Structure and simulated PXRD pattern of PaGaBi2N (a GGA-PBE-relaxed structure; Cu Kα X-rays).
No peak broadening, texture or thermal motion is included.

Cell and atoms:
```
PaGaBi2N
1.0
3.9382 0.0000 0.0000
0.0000 3.9382 0.0000
0.0000 0.0000 16.7779
Pa Ga Bi N
2 2 4 2
Cartesian
0.9845 0.9845 1.1613 Pa
2.9536 2.9536 15.6165 Pa
0.9845 0.9845 10.7794 Ga
2.9536 2.9536 5.9984 Ga
0.9845 0.9845 7.2694 Bi
0.9845 0.9845 13.6493 Bi
2.9536 2.9536 3.1286 Bi
2.9536 2.9536 9.5085 Bi
0.9845 2.9536 0.0000 N
2.9536 0.9845 0.0000 N
```

The 10 most intense peaks (15° ≤ 2θ ≤ 90°), low angle first:
2θ 27.7, d 3.220, intensity 100; 2θ 31.2, d 2.871, intensity 13; 2θ 32.1, d 2.785, intensity 80; 2θ 35.1, d 2.554, intensity 71; 2θ 46.1, d 1.969, intensity 33; 2θ 54.6, d 1.680, intensity 32; 2θ 54.8, d 1.675, intensity 26; 2θ 59.3, d 1.559, intensity 32; 2θ 65.0, d 1.436, intensity 15; 2θ 76.5, d 1.245, intensity 15

What did the ninth record say?
Structure and simulated PXRD pattern of Pr6P4Cl (a GGA-PBE-relaxed structure; Cu Kα X-rays).
No peak broadening, texture or thermal motion is included.

Cell and atoms:
```
Pr6P4Cl
1.0
2.0803 -6.9582 0.0000
2.0803 6.9582 0.0000
0.0000 0.0000 21.2569
Pr P Cl
12 8 2
Cartesian
0.0000 0.0000 0.0000 Pr
0.0000 0.0000 10.6285 Pr
2.0803 4.5552 15.9427 Pr
2.0803 3.1075 1.6423 Pr
2.0803 3.1075 8.9861 Pr
2.0803 0.4917 14.0306 Pr
2.0803 0.4917 17.8548 Pr
2.0803 -0.4917 3.4021 Pr
2.0803 -0.4917 7.2263 Pr
2.0803 -3.1075 12.2708 Pr
2.0803 -3.1075 19.6146 Pr
2.0803 -4.5552 5.3142 Pr
2.0803 5.6651 13.3154 P
2.0803 5.6651 18.5700 P
2.0803 1.8964 11.5771 P
2.0803 1.8964 20.3083 P
2.0803 -1.8964 0.9486 P
2.0803 -1.8964 9.6799 P
2.0803 -5.6651 2.6869 P
2.0803 -5.6651 7.9416 P
2.0803 4.7398 5.3142 Cl
2.0803 -4.7398 15.9427 Cl
```

The 10 most intense peaks (15° ≤ 2θ ≤ 90°), low angle first:
2θ 25.6, d 3.475, intensity 57; 2θ 28.0, d 3.189, intensity 45; 2θ 28.3, d 3.157, intensity 100; 2θ 29.1, d 3.065, intensity 29; 2θ 30.1, d 2.974, intensity 88; 2θ 31.5, d 2.838, intensity 34; 2θ 42.6, d 2.123, intensity 37; 2θ 43.5, d 2.080, intensity 28; 2θ 44.6, d 2.033, intensity 60; 2θ 52.7, d 1.737, intensity 36